This entry pairs a crystal structure of Mg2TaVO6 with its calculated X-ray powder pattern. Radiation: Cu Kα X-rays. Structure: DFT lattice parameters and positions (GGA+U).

Structure:
abc: 5.222 7.555 5.445
angles: 90.00 90.30 90.00
Atoms (fractional coordinates):
Mg1 0.004 0.250 0.042
Mg2 0.483 0.250 0.565
Mg3 0.517 0.750 0.435
Mg4 0.996 0.750 0.958
Ta1 0.000 0.000 0.500
Ta2 0.000 0.500 0.500
V1 0.500 0.000 0.000
V2 0.500 0.500 0.000
O1 0.136 0.750 0.557
O2 0.172 0.069 0.811
O3 0.172 0.431 0.811
O4 0.313 0.069 0.321
O5 0.313 0.431 0.321
O6 0.382 0.750 0.058
O7 0.618 0.250 0.942
O8 0.687 0.569 0.679
O9 0.687 0.931 0.679
O10 0.828 0.569 0.189
O11 0.828 0.931 0.189
O12 0.864 0.250 0.443

The 10 most intense peaks (2θ from 10° to 90°), by angle:
- d 5.445, 16.28°, I 37
- d 5.222, 16.98°, I 34
- d 3.778, 23.55°, I 72
- d 3.759, 23.67°, I 36
- d 3.104, 28.76°, I 20
- d 2.722, 32.90°, I 27
- d 2.668, 33.59°, I 100
- d 2.611, 34.35°, I 22
- d 1.889, 48.17°, I 25
- d 1.689, 54.31°, I 25



This entry pairs a crystal structure of Li4MnCo2NiO8 with its calculated X-ray powder pattern. Radiation: Cu Kα X-rays. Structure: DFT lattice parameters and positions (GGA+U).

Structure:
abc: 5.163 5.163 10.128
angles: 100.09 100.09 33.24
Atoms (fractional coordinates):
Li1 0.000 0.000 0.000
Li2 0.000 0.000 0.484
Li3 0.493 0.493 0.754
Li4 0.497 0.497 0.243
Mn1 0.747 0.747 0.620
Co1 0.251 0.251 0.882
Co2 0.745 0.745 0.130
Ni1 0.245 0.245 0.368
O1 0.126 0.126 0.179
O2 0.141 0.141 0.682
O3 0.357 0.357 0.567
O4 0.362 0.362 0.051
O5 0.632 0.632 0.934
O6 0.633 0.633 0.447
O7 0.860 0.860 0.799
O8 0.866 0.866 0.299

The 10 most intense peaks (2θ from 10° to 90°), by angle:
- d 4.864, 18.24°, I 100
- d 2.516, 35.68°, I 29
- d 2.489, 36.08°, I 13
- d 2.403, 37.43°, I 15
- d 2.097, 43.14°, I 52
- d 2.068, 43.78°, I 24
- d 1.915, 47.48°, I 10
- d 1.620, 56.84°, I 12
- d 1.479, 62.81°, I 14
- d 1.465, 63.48°, I 13



This entry pairs a crystal structure of MgMn2Fe2P4O16 with its calculated X-ray powder pattern. Radiation: Cu Kα X-rays. Structure: DFT lattice parameters and positions (GGA+U).

Structure:
abc: 5.068 5.987 10.222
angles: 90.00 90.03 90.00
Atoms (fractional coordinates):
Mg1 0.000 0.000 0.000
Mn1 0.182 0.500 0.754
Mn2 0.583 0.000 0.818
Fe1 0.014 0.000 0.340
Fe2 0.538 0.500 0.287
P1 0.138 0.000 0.646
P2 0.480 0.000 0.160
P3 0.698 0.500 0.963
P4 0.981 0.500 0.455
O1 0.229 0.000 0.506
O2 0.277 0.500 0.428
O3 0.281 0.195 0.726
O4 0.281 0.805 0.726
O5 0.357 0.205 0.230
O6 0.357 0.795 0.230
O7 0.386 0.000 0.014
O8 0.413 0.500 0.911
O9 0.709 0.500 0.113
O10 0.786 0.000 0.161
O11 0.829 0.302 0.388
O12 0.829 0.698 0.388
O13 0.845 0.000 0.669
O14 0.847 0.286 0.910
O15 0.847 0.714 0.910
O16 0.940 0.500 0.606

The 10 most intense peaks (2θ from 10° to 90°), by angle:
- d 5.111, 17.35°, I 47
- d 4.541, 19.55°, I 82
- d 3.618, 24.61°, I 64
- d 3.599, 24.73°, I 37
- d 3.085, 28.94°, I 28
- d 2.994, 29.85°, I 82
- d 2.557, 35.10°, I 100
- d 2.499, 35.93°, I 26
- d 1.808, 50.47°, I 25
- d 1.631, 56.43°, I 24



This entry pairs a crystal structure of KHoMo2O8 with its calculated X-ray powder pattern. Radiation: Cu Kα X-rays. Structure: DFT lattice parameters and positions (GGA+U).

Structure:
abc: 7.477 7.477 7.757
angles: 118.26 118.26 88.03
Atoms (fractional coordinates):
K1 0.200 0.800 0.750
K2 0.800 0.200 0.250
Ho1 0.229 0.771 0.250
Ho2 0.771 0.229 0.750
Mo1 0.302 0.304 0.761
Mo2 0.304 0.302 0.261
Mo3 0.696 0.698 0.739
Mo4 0.698 0.696 0.239
O1 0.045 0.206 0.691
O2 0.066 0.383 0.123
O3 0.206 0.045 0.191
O4 0.231 0.387 0.560
O5 0.367 0.586 0.031
O6 0.383 0.066 0.623
O7 0.387 0.231 0.060
O8 0.414 0.633 0.469
O9 0.586 0.367 0.531
O10 0.613 0.769 0.940
O11 0.617 0.934 0.377
O12 0.633 0.414 0.969
O13 0.769 0.613 0.440
O14 0.794 0.955 0.809
O15 0.934 0.617 0.877
O16 0.955 0.794 0.309

The 10 most intense peaks (2θ from 10° to 90°), by angle:
- d 6.202, 14.28°, I 64
- d 3.499, 25.46°, I 14
- d 3.214, 27.75°, I 23
- d 3.192, 27.95°, I 100
- d 3.101, 28.79°, I 84
- d 2.920, 30.62°, I 38
- d 2.598, 34.53°, I 15
- d 1.941, 46.81°, I 24
- d 1.815, 50.27°, I 19
- d 1.704, 53.81°, I 19



This entry pairs a crystal structure of CrH4C4NO10 with its calculated X-ray powder pattern. Radiation: Cu Kα X-rays. Structure: DFT lattice parameters and positions (GGA+U).

Structure:
abc: 5.080 5.080 10.325
angles: 91.20 91.20 94.71
Atoms (fractional coordinates):
Cr1 0.000 0.000 0.000
H1 0.233 0.452 0.101
H2 0.452 0.233 0.101
H3 0.548 0.767 0.899
H4 0.767 0.548 0.899
C1 0.024 0.239 0.755
C2 0.239 0.024 0.755
C3 0.761 0.976 0.245
C4 0.976 0.761 0.245
N1 0.500 0.500 0.500
O1 0.001 0.621 0.338
O2 0.105 0.755 0.136
O3 0.245 0.895 0.864
O4 0.285 0.285 0.060
O5 0.379 0.999 0.662
O6 0.621 0.001 0.338
O7 0.715 0.715 0.940
O8 0.755 0.105 0.136
O9 0.895 0.245 0.864
O10 0.999 0.379 0.662

The 10 most intense peaks (2θ from 10° to 90°), by angle:
- d 5.061, 17.52°, I 84
- d 4.504, 19.71°, I 100
- d 3.513, 25.35°, I 21
- d 3.233, 27.59°, I 61
- d 3.026, 29.52°, I 32
- d 2.876, 31.10°, I 22
- d 2.289, 39.36°, I 18
- d 2.132, 42.40°, I 19
- d 2.123, 42.58°, I 21
- d 1.997, 45.43°, I 14



This entry pairs a crystal structure of Ni5Se4Cl2O12 with its calculated X-ray powder pattern. Radiation: Cu Kα X-rays. Structure: DFT lattice parameters and positions (GGA+U).

Structure:
abc: 8.228 9.434 9.530
angles: 101.52 105.96 92.13
Atoms (fractional coordinates):
Ni1 0.035 0.386 0.370
Ni2 0.089 0.011 0.678
Ni3 0.234 0.304 0.058
Ni4 0.255 0.394 0.696
Ni5 0.425 0.757 0.773
Ni6 0.575 0.243 0.227
Ni7 0.745 0.606 0.304
Ni8 0.766 0.696 0.942
Ni9 0.911 0.989 0.322
Ni10 0.965 0.614 0.630
Se1 0.156 0.606 0.930
Se2 0.174 0.738 0.407
Se3 0.279 0.184 0.390
Se4 0.446 0.118 0.828
Se5 0.554 0.882 0.172
Se6 0.721 0.816 0.610
Se7 0.826 0.262 0.593
Se8 0.844 0.394 0.070
Cl1 0.015 0.130 0.897
Cl2 0.453 0.505 0.227
Cl3 0.547 0.495 0.773
Cl4 0.985 0.870 0.103
O1 0.011 0.614 0.427
O2 0.059 0.165 0.320
O3 0.061 0.408 0.157
O4 0.104 0.906 0.465
O5 0.195 0.426 0.896
O6 0.211 0.634 0.768
O7 0.281 0.366 0.481
O8 0.282 0.180 0.702
O9 0.328 0.955 0.808
O10 0.331 0.192 0.227
O11 0.344 0.731 0.549
O12 0.443 0.222 0.998
O13 0.557 0.778 0.002
O14 0.656 0.269 0.451
O15 0.669 0.808 0.773
O16 0.672 0.045 0.192
O17 0.718 0.820 0.298
O18 0.719 0.634 0.519
O19 0.789 0.366 0.232
O20 0.805 0.574 0.104
O21 0.896 0.094 0.535
O22 0.939 0.592 0.843
O23 0.941 0.835 0.680
O24 0.989 0.386 0.573

The 10 most intense peaks (2θ from 10° to 90°), by angle:
- d 6.993, 12.66°, I 100
- d 5.712, 15.51°, I 55
- d 3.626, 24.55°, I 86
- d 3.497, 25.47°, I 48
- d 3.481, 25.59°, I 59
- d 3.099, 28.81°, I 86
- d 3.042, 29.36°, I 100
- d 2.725, 32.86°, I 74
- d 2.643, 33.91°, I 49
- d 2.353, 38.25°, I 54



This entry pairs a crystal structure of LiCo3CuO8 with its calculated X-ray powder pattern. Radiation: Cu Kα X-rays. Structure: DFT lattice parameters and positions (GGA+U).

Structure:
abc: 5.691 5.691 5.952
angles: 119.19 119.19 60.23
Atoms (fractional coordinates):
Li1 0.000 0.000 0.000
Co1 0.000 0.500 0.500
Co2 0.500 0.000 0.500
Co3 0.500 0.500 0.500
Cu1 0.000 0.000 0.500
O1 0.234 0.234 0.692
O2 0.234 0.724 0.697
O3 0.262 0.262 0.302
O4 0.276 0.766 0.303
O5 0.724 0.234 0.697
O6 0.738 0.738 0.698
O7 0.766 0.276 0.303
O8 0.766 0.766 0.308

The 10 most intense peaks (2θ from 10° to 90°), by angle:
- d 4.916, 18.04°, I 100
- d 2.439, 36.85°, I 20
- d 2.422, 37.12°, I 10
- d 2.337, 38.52°, I 6
- d 2.059, 43.97°, I 30
- d 2.033, 44.57°, I 14
- d 1.609, 57.26°, I 10
- d 1.472, 63.16°, I 7
- d 1.423, 65.62°, I 8
- d 1.371, 68.42°, I 8



This entry pairs a crystal structure of Li2Cr3P5O18 with its calculated X-ray powder pattern. Radiation: Cu Kα X-rays. Structure: DFT lattice parameters and positions (GGA+U).

Structure:
abc: 13.062 13.062 12.507
angles: 91.86 91.86 21.13
Atoms (fractional coordinates):
Li1 0.009 0.307 0.370
Li2 0.307 0.009 0.870
Li3 0.693 0.991 0.130
Li4 0.991 0.693 0.630
Cr1 0.000 0.000 0.000
Cr2 0.000 0.000 0.500
Cr3 0.257 0.347 0.380
Cr4 0.347 0.257 0.880
Cr5 0.653 0.743 0.120
Cr6 0.743 0.653 0.620
P1 0.214 0.336 0.128
P2 0.233 0.767 0.250
P3 0.336 0.214 0.628
P4 0.429 0.432 0.409
P5 0.432 0.429 0.909
P6 0.568 0.571 0.091
P7 0.571 0.568 0.591
P8 0.664 0.786 0.372
P9 0.767 0.233 0.750
P10 0.786 0.664 0.872
O1 0.050 0.902 0.156
O2 0.098 0.950 0.344
O3 0.112 0.343 0.877
O4 0.126 0.744 0.933
O5 0.166 0.269 0.625
O6 0.252 0.364 0.537
O7 0.256 0.874 0.567
O8 0.259 0.354 0.727
O9 0.269 0.166 0.125
O10 0.279 0.471 0.381
O11 0.282 0.628 0.500
O12 0.343 0.112 0.377
O13 0.354 0.259 0.227
O14 0.364 0.252 0.037
O15 0.372 0.718 0.000
O16 0.404 0.512 0.295
O17 0.471 0.279 0.881
O18 0.488 0.596 0.205
O19 0.512 0.404 0.795
O20 0.529 0.721 0.119
O21 0.596 0.488 0.705
O22 0.628 0.282 0.000
O23 0.636 0.748 0.963
O24 0.646 0.741 0.773
O25 0.657 0.888 0.623
O26 0.718 0.372 0.500
O27 0.721 0.529 0.619
O28 0.731 0.834 0.875
O29 0.741 0.646 0.273
O30 0.744 0.126 0.433
O31 0.748 0.636 0.463
O32 0.834 0.731 0.375
O33 0.874 0.256 0.067
O34 0.888 0.657 0.123
O35 0.902 0.050 0.656
O36 0.950 0.098 0.844

The 10 most intense peaks (2θ from 10° to 90°), by angle:
- d 6.417, 13.80°, I 100
- d 5.694, 15.56°, I 37
- d 4.709, 18.84°, I 11
- d 4.402, 20.17°, I 12
- d 4.180, 21.26°, I 48
- d 3.449, 25.83°, I 17
- d 3.060, 29.19°, I 27
- d 2.912, 30.71°, I 27
- d 2.565, 34.98°, I 10
- d 2.395, 37.56°, I 15